This entry pairs a crystal structure of Li4V3O8 with its calculated powder diffractogram. Radiation: Cu Kα. Structure: a cell relaxed with PBE+U.
Neutral-atom scattering factors, no anomalous dispersion.

Top 8 peaks for 10° ≤ 2θ ≤ 80°, in order of rising 2θ:
- 18.24°, d 4.864, rel. 1000
- 18.57°, d 4.778, rel. 197
- 21.38°, d 4.156, rel. 193
- 36.05°, d 2.491, rel. 304
- 43.55°, d 2.078, rel. 835
- 57.28°, d 1.608, rel. 145
- 62.82°, d 1.479, rel. 209
- 63.75°, d 1.460, rel. 218

Cell and atoms:
Lattice parameters (Å, degrees): 5.918 5.918 5.918 59.12 59.12 59.12
Positions (direct):
Li 0.000 0.000 0.000
Li 0.000 0.000 0.500
Li 0.000 0.500 0.000
Li 0.500 0.000 0.000
V 0.000 0.500 0.500
V 0.500 0.000 0.500
V 0.500 0.500 0.000
O 0.228 0.723 0.261
O 0.254 0.254 0.254
O 0.261 0.228 0.723
O 0.277 0.739 0.772
O 0.723 0.261 0.228
O 0.739 0.772 0.277
O 0.746 0.746 0.746
O 0.772 0.277 0.739